For Hf4Ti3In, DFT lattice parameters and positions (PBE) gives the theoretical powder diffractogram in this record (Cu Kα X-rays).

Largest 10 diffraction maxima, low angle first, 2θ = 15–90°:
2theta, Rel. int.
19.04, 18
24.54, 31
34.86, 28
35.24, 19
35.90, 46
38.29, 100
38.64, 34
60.68, 18
66.11, 20
72.56, 22

Atomic structure:
Cell lengths 10.005, 6.174, 5.267 Å; angles 90.00, 90.00, 90.00 degrees
Sites, in units of the cell vectors:
Hf (0.000, 0.247, 0.000)
Hf (0.000, 0.753, 0.000)
Hf (0.250, 0.247, 0.353)
Hf (0.250, 0.753, 0.353)
Hf (0.500, 0.247, 0.000)
Hf (0.500, 0.753, 0.000)
Hf (0.750, 0.247, 0.647)
Hf (0.750, 0.753, 0.647)
Ti (0.000, 0.000, 0.500)
Ti (0.250, 0.000, 0.851)
Ti (0.250, 0.500, 0.831)
Ti (0.500, 0.000, 0.500)
Ti (0.750, 0.000, 0.149)
Ti (0.750, 0.500, 0.169)
In (0.000, 0.500, 0.500)
In (0.500, 0.500, 0.500)

For LiAcGa2Au, DFT lattice parameters and positions (PBE) gives the theoretical powder diffractogram in this record (Cu Kα X-rays).

Largest 10 diffraction maxima, low angle first, 2θ = 15–90°:
2theta, Rel. int.
21.18, 75
32.15, 74
32.50, 100
39.41, 52
45.17, 22
47.53, 29
51.74, 40
56.96, 18
63.40, 24
67.13, 26

Atomic structure:
Cell lengths 6.178, 6.178, 6.178 Å; angles 136.57, 136.57, 63.11 degrees
Sites, in units of the cell vectors:
Li (0.000, 0.000, 0.000)
Ac (0.250, 0.750, 0.500)
Ga (0.630, 0.130, 0.500)
Ga (0.870, 0.370, 0.500)
Au (0.500, 0.500, 0.000)

For Tb5SmIn2, DFT lattice parameters and positions (PBE) gives the theoretical powder diffractogram in this record (Cu Kα X-rays).

Largest 10 diffraction maxima, low angle first, 2θ = 15–90°:
2theta, Rel. int.
18.20, 1
31.81, 100
36.89, 50
53.16, 35
63.29, 41
66.46, 12
78.46, 4
78.62, 2
87.19, 18
90.00, 3

Atomic structure:
Cell lengths 6.895, 13.791, 4.868 Å; angles 90.00, 90.00, 90.00 degrees
Sites, in units of the cell vectors:
Tb (0.000, 0.000, 0.000)
Tb (0.000, 0.249, 0.000)
Tb (0.000, 0.751, 0.000)
Tb (0.250, 0.126, 0.500)
Tb (0.250, 0.626, 0.500)
Tb (0.500, 0.251, 0.000)
Tb (0.500, 0.500, 0.000)
Tb (0.500, 0.749, 0.000)
Tb (0.750, 0.374, 0.500)
Tb (0.750, 0.874, 0.500)
Sm (0.000, 0.500, 0.000)
Sm (0.500, 0.000, 0.000)
In (0.248, 0.874, 0.500)
In (0.252, 0.374, 0.500)
In (0.748, 0.626, 0.500)
In (0.752, 0.126, 0.500)

For NdB3O6, DFT lattice parameters and positions (PBE) gives the theoretical powder diffractogram in this record (Cu Kα X-rays).

Largest 10 diffraction maxima, low angle first, 2θ = 15–90°:
2theta, Rel. int.
17.56, 100
21.74, 41
22.43, 42
27.77, 46
27.93, 46
29.31, 31
31.42, 74
34.83, 30
43.69, 32
48.34, 30

Atomic structure:
Cell lengths 6.423, 6.423, 6.437 Å; angles 117.59, 117.59, 79.03 degrees
Sites, in units of the cell vectors:
Nd (0.202, 0.798, 0.750)
Nd (0.798, 0.202, 0.250)
B (0.206, 0.340, 0.915)
B (0.222, 0.778, 0.250)
B (0.340, 0.206, 0.415)
B (0.660, 0.794, 0.585)
B (0.778, 0.222, 0.750)
B (0.794, 0.660, 0.085)
O (0.009, 0.782, 0.289)
O (0.209, 0.385, 0.496)
O (0.212, 0.584, 0.007)
O (0.218, 0.991, 0.211)
O (0.385, 0.209, 0.996)
O (0.416, 0.788, 0.493)
O (0.584, 0.212, 0.507)
O (0.615, 0.791, 0.004)
O (0.782, 0.009, 0.789)
O (0.788, 0.416, 0.993)
O (0.791, 0.615, 0.504)
O (0.991, 0.218, 0.711)